The following is a simulated XRD peak list of Li2NbMoO6. It was derived from DFT lattice parameters and positions (GGA+U), using Cu Kα (λ = 1.5418 Å).
Kinematic intensities with the Lorentz-polarization factor, no thermal factor.

Largest 10 diffraction maxima, by intensity, 10° ≤ 2θ ≤ 80°:
Position (°2θ)	I_rel
22.6	100
20.8	64
30.9	51
46.2	26
48.6	24
32.2	24
51.2	21
56.6	19
52.0	19
69.3	16

Structure:
Lattice parameters (Å, degrees): 5.561 5.561 4.263 90.00 90.00 90.00
Space group P4mm (No. 99)
One atom of each set of equivalent atoms:
1 Li 0.000 0.500 0.000 (multiplicity 2)
2 Nb 0.000 0.000 0.760 (multiplicity 1)
3 Mo 0.500 0.500 0.741 (multiplicity 1)
4 O 0.000 0.000 0.337 (multiplicity 1)
5 O 0.252 0.252 0.851 (multiplicity 4)
6 O 0.500 0.500 0.333 (multiplicity 1)